[1]
Ba4Si2Ag4Te9: calculated XRD peak list (CuKα), based on a crystal structure in OQMD, relaxed with PBE.
Neutral-atom scattering factors, no anomalous dispersion.

Peak list (12 most intense, 2θ = 10–90°, most intense first)
27.99 deg, I 100, hkl 1 4 0
27.56 deg, I 55, hkl 2 1 2
33.46 deg, I 29, hkl 3 2 0
33.23 deg, I 27, hkl 2 0 3
34.81 deg, I 20, hkl 0 0 4
43.53 deg, I 18, hkl 4 2 0
30.86 deg, I 14, hkl 1 2 3
49.06 deg, I 13, hkl 3 2 4
61.43 deg, I 12, hkl 4 6 2
45.22 deg, I 12, hkl 1 4 4
33.01 deg, I 12, hkl 1 4 2
34.22 deg, I 11, hkl 1 3 3

```
data_Ba4Si2Ag4Te9
_chemical_formula_sum 'Ba8 Si4 Ag8 Te18'
_cell_length_a 8.7264
_cell_length_b 13.7197
_cell_length_c 10.3080
_cell_angle_alpha 90.00
_cell_angle_beta 90.00
_cell_angle_gamma 90.00
_symmetry_space_group_name_H-M 'P b a m'
_symmetry_Int_Tables_number 55
_symmetry_space_group_name_Hall '-P 2 2ab'
loop_
_atom_site_label
_atom_site_type_symbol
_atom_site_fract_x
_atom_site_fract_y
_atom_site_fract_z
Ba1 Ba 0.1201 0.1755 0.2408
Si1 Si 0.0782 0.4301 0.5000
Ag1 Ag 0.0000 0.5000 0.1406
Ag2 Ag 0.2370 0.3753 0.0000
Te1 Te 0.0000 0.0000 0.0000
Te2 Te 0.0818 0.6870 0.0000
Te3 Te 0.0971 0.7158 0.5000
Te4 Te 0.2459 0.4366 0.2973
```

=====

[2]
Ba2AgSn3: calculated XRD peak list (CuKα), based on a crystal structure in OQMD, relaxed with PBE.
Neutral-atom scattering factors, no anomalous dispersion.

Peak list (12 most intense, 2θ = 10–90°, most intense first)
27.58 deg, I 100, hkl 2 2 2
52.22 deg, I 37, hkl 2 4 6
37.00 deg, I 33, hkl 2 0 6
35.55 deg, I 19, hkl 0 4 0
36.89 deg, I 17, hkl 4 0 0
46.70 deg, I 16, hkl 4 2 4
61.08 deg, I 14, hkl 2 2 10
59.10 deg, I 12, hkl 2 6 2
86.94 deg, I 9, hkl 2 8 6
17.56 deg, I 9, hkl 0 2 0
77.78 deg, I 8, hkl 6 4 6
46.81 deg, I 8, hkl 0 2 8

```
data_Ba2AgSn3
_chemical_formula_sum 'Ba16 Ag8 Sn24'
_cell_length_a 9.7451
_cell_length_b 10.1004
_cell_length_c 16.8157
_cell_angle_alpha 90.00
_cell_angle_beta 90.00
_cell_angle_gamma 90.00
_symmetry_space_group_name_H-M 'F m m m'
_symmetry_Int_Tables_number 69
_symmetry_space_group_name_Hall '-F 2 2'
loop_
_atom_site_label
_atom_site_type_symbol
_atom_site_fract_x
_atom_site_fract_y
_atom_site_fract_z
Ba1 Ba 0.0000 0.2443 0.0000
Ba2 Ba 0.2500 0.2500 0.2500
Ag1 Ag 0.0000 0.0000 0.3331
Sn1 Sn 0.0000 0.0000 0.1693
Sn2 Sn 0.2438 0.0000 0.4152
```

=====

[3]
BaAg2Sn2: calculated XRD peak list (CuKα), based on a crystal structure in OQMD, relaxed with PBE.
Neutral-atom scattering factors, no anomalous dispersion.

Peak list (12 most intense, 2θ = 10–90°, most intense first)
30.32 deg, I 100, hkl 1 1 2
37.14 deg, I 81, hkl 2 0 0
29.56 deg, I 75, hkl 1 0 3
40.78 deg, I 40, hkl 1 1 4
48.17 deg, I 39, hkl 2 1 3
53.53 deg, I 28, hkl 2 2 0
43.24 deg, I 28, hkl 1 0 5
62.77 deg, I 24, hkl 3 1 2
58.29 deg, I 23, hkl 2 1 5
76.59 deg, I 20, hkl 2 0 8
54.51 deg, I 18, hkl 1 1 6
69.41 deg, I 16, hkl 3 1 4

```
data_BaAg2Sn2
_chemical_formula_sum 'Ba2 Ag4 Sn4'
_cell_length_a 4.8416
_cell_length_b 4.8416
_cell_length_c 11.6009
_cell_angle_alpha 90.00
_cell_angle_beta 90.00
_cell_angle_gamma 90.00
_symmetry_space_group_name_H-M 'I 4/m m m'
_symmetry_Int_Tables_number 139
_symmetry_space_group_name_Hall '-I 4 2'
loop_
_atom_site_label
_atom_site_type_symbol
_atom_site_fract_x
_atom_site_fract_y
_atom_site_fract_z
Ba1 Ba 0.0000 0.0000 0.0000
Ag1 Ag 0.0000 0.5000 0.2500
Sn1 Sn 0.0000 0.0000 0.3754
```

=====

[4]
Ba4AgTe3: calculated XRD peak list (CuKα), based on a crystal structure in OQMD, relaxed with PBE.
Neutral-atom scattering factors, no anomalous dispersion.

Peak list (12 most intense, 2θ = 10–90°, most intense first)
25.30 deg, I 100, hkl 0 1 2
35.85 deg, I 26, hkl 2 1 -2
36.34 deg, I 26, hkl 2 1 2
44.64 deg, I 14, hkl 2 2 0
35.96 deg, I 13, hkl 0 0 4
36.10 deg, I 13, hkl 0 2 0
58.42 deg, I 13, hkl 0 1 6
65.04 deg, I 9, hkl 2 3 2
51.87 deg, I 9, hkl 0 2 4
44.10 deg, I 7, hkl 2 0 -4
64.26 deg, I 7, hkl 2 1 -6
44.92 deg, I 7, hkl 2 0 4

```
data_Ba4AgTe3
_chemical_formula_sum 'Ba4 Ag1 Te3'
_cell_length_a 7.0260
_cell_length_b 4.9755
_cell_length_c 9.9923
_cell_angle_alpha 90.00
_cell_angle_beta 91.06
_cell_angle_gamma 90.00
_symmetry_space_group_name_H-M 'P 1 m 1'
_symmetry_Int_Tables_number 6
_symmetry_space_group_name_Hall 'P -2y'
loop_
_atom_site_label
_atom_site_type_symbol
_atom_site_fract_x
_atom_site_fract_y
_atom_site_fract_z
Ba1 Ba 0.0000 0.0000 0.0000
Ba2 Ba 0.0084 0.0000 0.4997
Ba3 Ba 0.4952 0.5000 0.7566
Ba4 Ba 0.5094 0.5000 0.2486
Ag1 Ag 0.5073 0.0000 0.5029
Te1 Te 0.0091 0.5000 0.2506
Te2 Te 0.5000 0.0000 0.0028
Te3 Te 0.9952 0.5000 0.7490
```